Diffraction record for Ba2BWO6. The XRD peak list is simulated, not measured: it uses a crystal structure in Alexandria, relaxed with GGA+U and copper Kα.

Structural model:
a b c (Å): 6.9416 8.8307 9.4200
angles (deg): 90.00 90.00 90.00
Space group Fmmm (No. 69)
One atom of each set of equivalent atoms:
Ba (0.2500, 0.2500, 0.2500) x8
B (0.0000, 0.0000, 0.0000) x4
W (0.0000, 0.0000, 0.5000) x4
O (0.0000, 0.0000, 0.2851) x8
O (0.0000, 0.2164, 0.5000) x8
O (0.1854, 0.0000, 0.0000) x8

Most intense lines, 10 to 90 degrees two-theta, low angle first:
18.79 deg, I 83.5, hkl 1 1 1; 27.69 deg, I 100.0, hkl 0 2 2; 32.03 deg, I 71.2, hkl 2 0 2; 32.84 deg, I 81.6, hkl 2 2 0; 38.22 deg, I 34.1, hkl 0 0 4; 51.25 deg, I 44.0, hkl 2 2 4